Entry 1:
For Nd2Sn5Au3, the GGA-PBE geometry in Alexandria gives the theoretical powder X-ray diffraction pattern in this record (Cu Kα X-rays).
Neutral-atom scattering factors, no anomalous dispersion.

The 10 most intense peaks (10° ≤ 2θ ≤ 80°), in order of rising 2θ:
30.16 deg, d = 2.964 Å, intensity 21
30.53 deg, d = 2.928 Å, intensity 77
32.80 deg, d = 2.731 Å, intensity 100
33.68 deg, d = 2.661 Å, intensity 15
35.51 deg, d = 2.528 Å, intensity 43
36.88 deg, d = 2.437 Å, intensity 31
37.87 deg, d = 2.376 Å, intensity 80
43.12 deg, d = 2.098 Å, intensity 16
52.86 deg, d = 1.732 Å, intensity 24
65.17 deg, d = 1.431 Å, intensity 17

Atomic structure:
```
20
Lattice="2.377 -12.760 0.000 2.377 12.760 0.000 0.000 0.000 8.263" Properties=species:S:1:pos:R:3 pbc="T T T"
Nd 2.377 12.152 4.132
Nd 2.377 4.454 4.040
Nd 2.377 -4.454 8.172
Nd 2.377 -12.152 0.000
Sn 2.377 10.072 1.489
Sn 2.377 7.948 5.218
Sn 2.377 6.889 1.740
Sn 2.377 3.022 7.855
Sn 2.377 1.268 2.544
Sn 2.377 -1.268 6.676
Sn 2.377 -3.022 3.723
Sn 2.377 -6.889 5.871
Sn 2.377 -7.948 1.086
Sn 2.377 -10.072 5.620
Au 2.377 10.157 6.846
Au 2.377 5.833 7.376
Au 2.377 1.186 5.466
Au 2.377 -1.186 1.335
Au 2.377 -5.833 3.244
Au 2.377 -10.157 2.715
```

***

Entry 2:
For KInPbBr6, the GGA-PBE geometry in Alexandria gives the theoretical powder X-ray diffraction pattern in this record (Cu Kα X-rays).
Neutral-atom scattering factors, no anomalous dispersion.

The 10 most intense peaks (10° ≤ 2θ ≤ 80°), in order of rising 2θ:
12.55 deg, d = 7.056 Å, intensity 52
13.54 deg, d = 6.539 Å, intensity 34
18.50 deg, d = 4.796 Å, intensity 50
26.78 deg, d = 3.329 Å, intensity 100
34.80 deg, d = 2.578 Å, intensity 81
38.60 deg, d = 2.333 Å, intensity 20
41.43 deg, d = 2.180 Å, intensity 40
45.43 deg, d = 1.996 Å, intensity 30
55.19 deg, d = 1.664 Å, intensity 18
71.31 deg, d = 1.323 Å, intensity 16

Atomic structure:
```
18
Lattice="7.550 0.000 0.000 -3.775 6.539 0.000 0.000 0.000 14.112" Properties=species:S:1:pos:R:3 pbc="T T T"
K 0.000 0.000 0.000
K 0.000 0.000 7.056
In 0.000 4.359 3.528
In 3.775 2.180 10.584
Pb 0.000 4.359 10.584
Pb 3.775 2.180 3.528
Br -1.196 2.505 1.920
Br -2.203 4.251 5.136
Br 1.196 2.505 5.136
Br -1.008 6.322 1.920
Br 2.768 0.217 8.976
Br 1.572 2.288 12.192
Br 2.203 4.251 1.920
Br 1.008 6.322 5.136
Br 4.783 0.217 12.192
Br 2.580 4.034 8.976
Br 5.979 2.288 8.976
Br 4.971 4.034 12.192
```

***

Entry 3:
For PrNd6Te8, the GGA-PBE geometry in Alexandria gives the theoretical powder X-ray diffraction pattern in this record (Cu Kα X-rays).
Neutral-atom scattering factors, no anomalous dispersion.

The 10 most intense peaks (10° ≤ 2θ ≤ 80°), in order of rising 2θ:
12.09 deg, d = 7.321 Å, intensity 3
13.97 deg, d = 6.340 Å, intensity 3
23.27 deg, d = 3.823 Å, intensity 4
28.15 deg, d = 3.170 Å, intensity 100
30.74 deg, d = 2.909 Å, intensity 3
40.23 deg, d = 2.242 Å, intensity 76
49.82 deg, d = 1.830 Å, intensity 27
58.21 deg, d = 1.585 Å, intensity 13
65.89 deg, d = 1.418 Å, intensity 35
73.13 deg, d = 1.294 Å, intensity 25

Atomic structure:
```
15
Lattice="0.000 6.340 6.340 6.340 0.000 6.340 6.340 6.340 0.000" Properties=species:S:1:pos:R:3 pbc="T T T"
Pr 0.000 0.000 0.000
Nd 3.170 3.170 0.000
Nd 3.170 0.000 3.170
Nd 6.340 3.170 3.170
Nd 0.000 3.170 3.170
Nd 3.170 6.340 3.170
Nd 3.170 3.170 6.340
Te 3.170 3.170 3.170
Te 6.340 6.340 3.259
Te 6.340 3.259 6.340
Te 9.421 6.340 6.340
Te 3.259 6.340 6.340
Te 6.340 9.421 6.340
Te 6.340 6.340 9.421
Te 9.510 9.510 9.510
```

***

Entry 4:
For Nd5Y4Tm, the GGA-PBE geometry in Alexandria gives the theoretical powder X-ray diffraction pattern in this record (Cu Kα X-rays).
Neutral-atom scattering factors, no anomalous dispersion.

The 10 most intense peaks (10° ≤ 2θ ≤ 80°), in order of rising 2θ:
11.79 deg, d = 7.503 Å, intensity 22
23.72 deg, d = 3.752 Å, intensity 13
29.20 deg, d = 3.059 Å, intensity 100
33.81 deg, d = 2.651 Å, intensity 18
33.90 deg, d = 2.644 Å, intensity 29
35.91 deg, d = 2.501 Å, intensity 40
39.95 deg, d = 2.257 Å, intensity 15
48.61 deg, d = 1.873 Å, intensity 13
59.12 deg, d = 1.563 Å, intensity 16
60.47 deg, d = 1.531 Å, intensity 17

Atomic structure:
```
10
Lattice="-5.306 5.306 3.050 5.306 -5.306 3.050 5.306 5.306 -3.050" Properties=species:S:1:pos:R:3 pbc="T T T"
Nd 0.000 0.000 0.000
Nd 3.310 3.310 -1.396
Nd 1.995 -1.995 1.654
Nd -1.995 1.995 1.654
Nd 1.995 1.995 1.654
Y 5.306 -1.872 1.561
Y 5.306 1.872 1.561
Y -1.872 5.306 1.561
Y 1.872 5.306 1.561
Tm 0.000 0.000 3.259
```

***

Entry 5:
For Pr2Sm5Ho12, the GGA-PBE geometry in Alexandria gives the theoretical powder X-ray diffraction pattern in this record (Cu Kα X-rays).
Neutral-atom scattering factors, no anomalous dispersion.

The 10 most intense peaks (10° ≤ 2θ ≤ 80°), in order of rising 2θ:
31.13 deg, d = 2.873 Å, intensity 21
31.28 deg, d = 2.859 Å, intensity 100
31.58 deg, d = 2.833 Å, intensity 40
31.84 deg, d = 2.811 Å, intensity 38
32.02 deg, d = 2.795 Å, intensity 53
32.26 deg, d = 2.775 Å, intensity 46
32.80 deg, d = 2.731 Å, intensity 49
33.76 deg, d = 2.655 Å, intensity 24
53.19 deg, d = 1.722 Å, intensity 13
56.71 deg, d = 1.623 Å, intensity 14

Atomic structure:
```
19
Lattice="6.759 0.000 0.000 -1.585 8.660 0.000 -0.454 -4.241 10.628" Properties=species:S:1:pos:R:3 pbc="T T T"
Pr 0.429 3.001 0.777
Pr 4.290 1.418 9.851
Sm -0.183 -0.347 4.905
Sm 0.927 2.225 10.490
Sm 3.152 -2.120 5.314
Sm 3.793 2.194 0.138
Sm 4.903 4.766 5.723
Ho -0.560 5.697 2.655
Ho -0.924 4.797 9.202
Ho -0.100 2.048 7.302
Ho 1.240 3.064 4.401
Ho 2.268 0.247 2.486
Ho 1.791 -0.627 8.257
Ho 2.928 5.046 2.371
Ho 2.452 4.172 8.142
Ho 3.479 1.355 6.227
Ho 4.820 2.371 3.326
Ho 5.643 -0.378 1.426
Ho 5.279 -1.278 7.973
```

***

Entry 6:
For GaBi3Au4, the GGA-PBE geometry in Alexandria gives the theoretical powder X-ray diffraction pattern in this record (Cu Kα X-rays).
Neutral-atom scattering factors, no anomalous dispersion.

The 10 most intense peaks (10° ≤ 2θ ≤ 80°), in order of rising 2θ:
23.28 deg, d = 3.821 Å, intensity 41
27.31 deg, d = 3.266 Å, intensity 100
30.17 deg, d = 2.962 Å, intensity 74
35.11 deg, d = 2.556 Å, intensity 63
37.08 deg, d = 2.425 Å, intensity 63
38.40 deg, d = 2.344 Å, intensity 71
38.76 deg, d = 2.323 Å, intensity 51
43.47 deg, d = 2.082 Å, intensity 33
44.24 deg, d = 2.047 Å, intensity 87
55.70 deg, d = 1.650 Å, intensity 33

Atomic structure:
```
8
Lattice="-2.833 4.689 3.821 2.833 -4.689 3.821 2.833 4.689 -3.821" Properties=species:S:1:pos:R:3 pbc="T T T"
Ga 0.000 0.000 0.000
Bi 2.833 2.277 -0.338
Bi 0.000 4.689 1.119
Bi 0.000 2.411 3.483
Au 2.833 -2.516 2.573
Au 1.415 4.689 -1.608
Au 1.417 0.000 2.213
Au 2.833 2.516 2.573
```

***

Entry 7:
For ScSnC, the GGA-PBE geometry in Alexandria gives the theoretical powder X-ray diffraction pattern in this record (Cu Kα X-rays).
Neutral-atom scattering factors, no anomalous dispersion.

The 10 most intense peaks (10° ≤ 2θ ≤ 80°), in order of rising 2θ:
10.82 deg, d = 8.177 Å, intensity 100
26.76 deg, d = 3.332 Å, intensity 28
29.45 deg, d = 3.033 Å, intensity 35
32.46 deg, d = 2.758 Å, intensity 80
34.31 deg, d = 2.613 Å, intensity 46
34.73 deg, d = 2.583 Å, intensity 78
36.90 deg, d = 2.436 Å, intensity 54
57.90 deg, d = 1.593 Å, intensity 34
62.28 deg, d = 1.491 Å, intensity 28
66.46 deg, d = 1.407 Å, intensity 20

Atomic structure:
```
6
Lattice="-1.825 2.105 8.177 1.825 -2.105 8.177 1.825 2.105 -8.177" Properties=species:S:1:pos:R:3 pbc="T T T"
Sc 0.000 0.000 1.663
Sc 0.000 0.000 14.691
Sn 0.000 0.000 4.892
Sn 0.000 0.000 11.462
C 0.000 1.472 0.000
C 0.000 2.737 0.000
```

***

Entry 8:
For Sm3In2Au2, the GGA-PBE geometry in Alexandria gives the theoretical powder X-ray diffraction pattern in this record (Cu Kα X-rays).
Neutral-atom scattering factors, no anomalous dispersion.

The 10 most intense peaks (10° ≤ 2θ ≤ 80°), in order of rising 2θ:
31.97 deg, d = 2.799 Å, intensity 100
34.01 deg, d = 2.636 Å, intensity 36
34.55 deg, d = 2.596 Å, intensity 98
34.77 deg, d = 2.580 Å, intensity 59
37.79 deg, d = 2.380 Å, intensity 40
39.76 deg, d = 2.267 Å, intensity 45
50.64 deg, d = 1.803 Å, intensity 22
53.84 deg, d = 1.703 Å, intensity 33
62.76 deg, d = 1.481 Å, intensity 35
66.24 deg, d = 1.411 Å, intensity 20

Atomic structure:
```
7
Lattice="2.267 -11.081 0.000 2.267 11.081 0.000 0.000 0.000 3.605" Properties=species:S:1:pos:R:3 pbc="T T T"
Sm 0.000 0.000 0.000
Sm 2.267 7.419 0.000
Sm 2.267 -7.419 0.000
In 2.267 1.739 1.803
In 2.267 -1.739 1.803
Au 2.267 4.694 1.803
Au 2.267 -4.694 1.803
```

***

Entry 9:
For SmAlCu4Si2, the GGA-PBE geometry in Alexandria gives the theoretical powder X-ray diffraction pattern in this record (Cu Kα X-rays).
Neutral-atom scattering factors, no anomalous dispersion.

The 10 most intense peaks (10° ≤ 2θ ≤ 80°), in order of rising 2θ:
25.81 deg, d = 3.451 Å, intensity 19
26.44 deg, d = 3.371 Å, intensity 57
30.51 deg, d = 2.930 Å, intensity 19
34.62 deg, d = 2.591 Å, intensity 78
36.99 deg, d = 2.430 Å, intensity 79
42.20 deg, d = 2.141 Å, intensity 37
45.13 deg, d = 2.009 Å, intensity 100
58.10 deg, d = 1.588 Å, intensity 17
59.72 deg, d = 1.548 Å, intensity 19
77.89 deg, d = 1.226 Å, intensity 17

Atomic structure:
```
8
Lattice="2.009 1.160 9.056 -2.009 1.160 9.056 0.000 -2.320 9.056" Properties=species:S:1:pos:R:3 pbc="T T T"
Sm 0.000 0.000 0.000
Al 0.000 0.000 13.584
Cu 0.000 0.000 3.258
Cu 0.000 0.000 11.137
Cu 0.000 0.000 16.032
Cu 0.000 0.000 23.910
Si 0.000 0.000 6.971
Si 0.000 0.000 20.197
```

***

Entry 10:
For AcPrSi2Pd5, the GGA-PBE geometry in Alexandria gives the theoretical powder X-ray diffraction pattern in this record (Cu Kα X-rays).
Neutral-atom scattering factors, no anomalous dispersion.

The 10 most intense peaks (10° ≤ 2θ ≤ 80°), in order of rising 2θ:
20.07 deg, d = 4.424 Å, intensity 10
22.46 deg, d = 3.958 Å, intensity 9
28.52 deg, d = 3.130 Å, intensity 17
35.12 deg, d = 2.555 Å, intensity 100
40.78 deg, d = 2.213 Å, intensity 54
45.83 deg, d = 1.980 Å, intensity 8
50.52 deg, d = 1.807 Å, intensity 7
59.03 deg, d = 1.565 Å, intensity 32
70.58 deg, d = 1.334 Å, intensity 37
74.22 deg, d = 1.278 Å, intensity 9

Atomic structure:
```
9
Lattice="4.424 0.000 0.000 0.000 4.424 0.000 0.000 0.000 8.860" Properties=species:S:1:pos:R:3 pbc="T T T"
Ac 0.000 0.000 0.000
Pr 0.000 0.000 4.430
Si 2.212 2.212 1.298
Si 2.212 2.212 7.562
Pd 0.000 2.212 2.401
Pd 0.000 2.212 6.459
Pd 2.212 0.000 2.401
Pd 2.212 0.000 6.459
Pd 2.212 2.212 4.430
```

***

Entry 11:
For Li4CdCu4, the GGA-PBE geometry in Alexandria gives the theoretical powder X-ray diffraction pattern in this record (Cu Kα X-rays).
Neutral-atom scattering factors, no anomalous dispersion.

The 10 most intense peaks (10° ≤ 2θ ≤ 80°), in order of rising 2θ:
22.08 deg, d = 4.025 Å, intensity 59
25.38 deg, d = 3.509 Å, intensity 58
35.25 deg, d = 2.546 Å, intensity 23
40.82 deg, d = 2.211 Å, intensity 100
46.59 deg, d = 1.950 Å, intensity 17
46.89 deg, d = 1.938 Å, intensity 29
47.94 deg, d = 1.897 Å, intensity 30
52.13 deg, d = 1.755 Å, intensity 11
62.40 deg, d = 1.488 Å, intensity 14
69.08 deg, d = 1.360 Å, intensity 18

Atomic structure:
```
9
Lattice="-4.025 4.025 1.950 4.025 -4.025 1.950 4.025 4.025 -1.950" Properties=species:S:1:pos:R:3 pbc="T T T"
Li 1.401 1.401 0.000
Li 2.624 -2.624 1.950
Li -2.624 2.624 1.950
Li 2.624 2.624 1.950
Cd 0.000 0.000 1.950
Cu 4.025 1.217 0.000
Cu 1.217 4.025 0.000
Cu 2.808 0.000 1.950
Cu 0.000 2.808 1.950
```

***

Entry 12:
For Si2HgOs, the GGA-PBE geometry in Alexandria gives the theoretical powder X-ray diffraction pattern in this record (Cu Kα X-rays).
Neutral-atom scattering factors, no anomalous dispersion.

The 10 most intense peaks (10° ≤ 2θ ≤ 80°), in order of rising 2θ:
25.00 deg, d = 3.562 Å, intensity 89
25.16 deg, d = 3.539 Å, intensity 67
26.77 deg, d = 3.330 Å, intensity 78
32.75 deg, d = 2.735 Å, intensity 100
38.00 deg, d = 2.368 Å, intensity 47
43.11 deg, d = 2.098 Å, intensity 26
45.04 deg, d = 2.013 Å, intensity 52
47.18 deg, d = 1.926 Å, intensity 46
49.36 deg, d = 1.846 Å, intensity 28
68.61 deg, d = 1.368 Å, intensity 25

Atomic structure:
```
4
Lattice="3.923 -1.482 0.000 3.923 1.482 0.000 -3.408 0.000 7.123" Properties=species:S:1:pos:R:3 pbc="T T T"
Si 0.573 0.000 2.561
Si 3.865 0.000 4.562
Hg 0.000 0.000 0.000
Os -1.704 0.000 3.562
```

***

Entry 13:
For TaCrAgS4, the GGA-PBE geometry in Alexandria gives the theoretical powder X-ray diffraction pattern in this record (Cu Kα X-rays).
Neutral-atom scattering factors, no anomalous dispersion.

The 10 most intense peaks (10° ≤ 2θ ≤ 80°), in order of rising 2θ:
14.56 deg, d = 6.084 Å, intensity 48
17.06 deg, d = 5.198 Å, intensity 21
23.72 deg, d = 3.751 Å, intensity 36
24.31 deg, d = 3.662 Å, intensity 33
28.24 deg, d = 3.161 Å, intensity 27
28.37 deg, d = 3.146 Å, intensity 49
29.10 deg, d = 3.069 Å, intensity 100
34.77 deg, d = 2.580 Å, intensity 29
45.21 deg, d = 2.006 Å, intensity 57
49.80 deg, d = 1.831 Å, intensity 70

Atomic structure:
```
14
Lattice="-3.554 3.751 5.198 3.554 -3.751 5.198 3.554 3.751 -5.198" Properties=species:S:1:pos:R:3 pbc="T T T"
Ta -1.777 1.876 2.599
Ta 1.777 1.876 2.599
Cr 0.000 0.000 0.000
Cr 0.000 3.751 0.000
Ag 3.554 1.876 -1.323
Ag 0.000 1.876 6.521
S 0.000 0.137 2.451
S 1.574 1.876 0.140
S 1.981 -1.876 5.338
S 3.554 0.137 2.747
S 0.000 3.614 2.451
S 1.574 5.627 -0.140
S 1.981 1.876 5.058
S 3.554 3.614 2.747
```